For Dy3Ga4Hg2, DFT lattice parameters and positions (GGA-PBE) gives the calculated powder diffraction line list in this record (Cu Kα X-rays).
Lines closer than 0.1° are merged.

Structural model:
Lattice parameters (Å, degrees): 10.817 4.551 8.652 90.00 112.69 90.00
Space group C2/m (No. 12)
One atom of each set of equivalent atoms:
Dy: 0.000 0.000 0.000
Dy: 0.160 0.500 0.672
Ga: 0.052 0.000 0.389
Ga: 0.238 0.500 0.062
Hg: 0.125 0.500 0.287

Largest 12 diffraction maxima, by angle, 5 to 70 degrees two-theta:
d 2.696, 33.2°, intensity 22, (4 0 -1)
d 2.686, 33.4°, intensity 60, (3 1 0)
d 2.665, 33.6°, intensity 74, (0 0 3)
d 2.277, 39.6°, intensity 100, (0 2 0)
d 1.823, 50.0°, intensity 15, (4 0 2)
d 1.739, 52.6°, intensity 12, (4 2 -1)
d 1.729, 52.9°, intensity 16, (0 2 3)
d 1.431, 65.2°, intensity 14, (7 1 -1)
d 1.423, 65.6°, intensity 14, (4 2 2)
d 1.415, 66.0°, intensity 14, (1 1 5)
d 1.385, 67.6°, intensity 12, (6 2 -3)
d 1.375, 68.2°, intensity 13, (3 1 -6)